Theoretical powder X-ray diffraction pattern
Compound: K3SnPb
Radiation: Cu Kα, 1.54184 Å
Structure: a structure optimized by DFT (GGA-PBE)
No peak broadening, texture or thermal motion is included.

Structural model:
```
data_K3SnPb
_space_group_name_H-M_alt 'P 1 2/c 1'
_space_group_IT_number 13
_space_group_name_Hall '-P 2yc'
_cell_length_a 9.162
_cell_length_b 7.603
_cell_length_c 13.652
_cell_angle_alpha 90.00
_cell_angle_beta 92.40
_cell_angle_gamma 90.00
loop_
_atom_site_label
_atom_site_type_symbol
_atom_site_fract_x
_atom_site_fract_y
_atom_site_fract_z
K1 K 0.035 0.198 0.112
K2 K 0.243 0.374 0.842
K3 K 0.365 0.174 0.569
Sn1 Sn 0.350 0.085 0.297
Pb1 Pb 0.417 0.360 0.143
```

Principal peaks in the range 2θ = 10–90°, most intense first:
6.641 Å, I = 100.0
2.757 Å, I = 62.3
3.412 Å, I = 59.6
2.875 Å, I = 45.9
5.428 Å, I = 43.1
6.820 Å, I = 32.2
2.918 Å, I = 28.6
3.453 Å, I = 28.5
2.912 Å, I = 28.4
2.137 Å, I = 23.9


Theoretical powder X-ray diffraction pattern
Compound: KUTe4Pb2
Radiation: Cu Kα, 1.54184 Å
Structure: a structure optimized by DFT (GGA-PBE)
No peak broadening, texture or thermal motion is included.

Structural model:
```
data_KUTe4Pb2
_space_group_name_H-M_alt 'I -4 m 2'
_space_group_IT_number 119
_space_group_name_Hall 'I -4 -2'
_cell_length_a 6.572
_cell_length_b 6.572
_cell_length_c 13.195
_cell_angle_alpha 90.00
_cell_angle_beta 90.00
_cell_angle_gamma 90.00
loop_
_atom_site_label
_atom_site_type_symbol
_atom_site_fract_x
_atom_site_fract_y
_atom_site_fract_z
K1 K 0.000 0.000 0.000
U1 U 0.000 0.500 0.750
Te1 Te 0.000 0.000 0.257
Te2 Te 0.000 0.500 0.512
Pb1 Pb 0.000 0.000 0.500
Pb2 Pb 0.000 0.500 0.250
```

Principal peaks in the range 2θ = 10–90°, most intense first:
2.326 Å, I = 100.0
3.286 Å, I = 86.3
3.299 Å, I = 42.5
1.900 Å, I = 36.1
1.470 Å, I = 31.9
1.342 Å, I = 23.4
5.883 Å, I = 14.9
1.474 Å, I = 14.7
1.097 Å, I = 12.1
1.643 Å, I = 11.7


Theoretical powder X-ray diffraction pattern
Compound: KTl3Pb3
Radiation: Cu Kα, 1.54184 Å
Structure: a structure optimized by DFT (GGA-PBE)
No peak broadening, texture or thermal motion is included.

Structural model:
```
data_KTl3Pb3
_space_group_name_H-M_alt 'P 63/m'
_space_group_IT_number 176
_space_group_name_Hall '-P 6c'
_cell_length_a 9.4213
_cell_length_b 9.4213
_cell_length_c 6.0372
_cell_angle_alpha 90.00
_cell_angle_beta 90.00
_cell_angle_gamma 120.00
loop_
_atom_site_label
_atom_site_type_symbol
_atom_site_fract_x
_atom_site_fract_y
_atom_site_fract_z
K1 K 0.3333 0.6667 0.2500
Tl1 Tl 0.0965 0.6447 0.7500
Pb1 Pb 0.0459 0.8207 0.2500
```

Principal peaks in the range 2θ = 10–90°, most intense first:
2.746 Å, I = 100.0
3.019 Å, I = 29.7
3.084 Å, I = 24.0
1.685 Å, I = 23.9
1.534 Å, I = 19.9
2.157 Å, I = 18.1
1.780 Å, I = 16.1
1.494 Å, I = 12.9
8.159 Å, I = 11.2
1.151 Å, I = 9.0